Diffraction record for Zn3AgAs3O12. The powder XRD pattern is computed, not measured: it uses the PBE geometry in Alexandria and a wavelength of 1.5418 Å.
Neutral-atom scattering factors, no anomalous dispersion.

Atomic structure:
a = 8.7808 Å, b = 8.7808 Å, c = 6.9042 Å
α = 105.15°, β = 105.15°, γ = 95.45°
Element x y z (fractional)
Zn (0.1269, 0.4557, 0.8804)
Zn (0.2140, 0.7860, 0.7500)
Zn (0.4557, 0.1269, 0.3804)
Zn (0.5443, 0.8731, 0.6196)
Zn (0.7860, 0.2140, 0.2500)
Zn (0.8731, 0.5443, 0.1196)
Ag (0.4993, 0.5007, 0.2500)
Ag (0.5007, 0.4993, 0.7500)
As (0.1573, 0.3910, 0.3874)
As (0.1921, 0.8079, 0.2500)
As (0.3910, 0.1573, 0.8874)
As (0.6090, 0.8427, 0.1126)
As (0.8079, 0.1921, 0.7500)
As (0.8427, 0.6090, 0.6126)
O (0.0063, 0.2336, 0.7637)
O (0.0289, 0.2212, 0.3413)
O (0.1101, 0.4768, 0.1869)
O (0.1775, 0.5240, 0.6322)
O (0.2212, 0.0289, 0.8413)
O (0.2279, 0.6955, 0.0211)
O (0.2336, 0.0063, 0.2637)
O (0.3045, 0.7721, 0.4789)
O (0.3641, 0.3667, 0.4209)
O (0.3667, 0.3641, 0.9209)
O (0.4760, 0.8225, 0.8678)
O (0.4768, 0.1101, 0.6869)
O (0.5232, 0.8899, 0.3131)
O (0.5240, 0.1775, 0.1322)
O (0.6333, 0.6359, 0.0791)
O (0.6359, 0.6333, 0.5791)
O (0.6955, 0.2279, 0.5211)
O (0.7664, 0.9937, 0.7363)
O (0.7721, 0.3045, 0.9789)
O (0.7788, 0.9711, 0.1587)
O (0.8225, 0.4760, 0.3678)
O (0.8899, 0.5232, 0.8131)
O (0.9711, 0.7788, 0.6587)
O (0.9937, 0.7664, 0.2363)

Most intense lines, 2θ from 15° to 90°, in order of rising 2θ:
2θ 22.09, intensity 28
2θ 26.86, intensity 17
2θ 30.09, intensity 20
2θ 32.13, intensity 100
2θ 32.95, intensity 37
2θ 33.30, intensity 49
2θ 34.03, intensity 21
2θ 45.43, intensity 19
2θ 49.55, intensity 17
2θ 53.37, intensity 16


Diffraction record for Zr4RhN. The powder XRD pattern is computed, not measured: it uses the PBE geometry in Alexandria and a wavelength of 1.5418 Å.
Neutral-atom scattering factors, no anomalous dispersion.

Atomic structure:
a = 7.4208 Å, b = 7.4208 Å, c = 5.7420 Å
α = 105.81°, β = 105.81°, γ = 120.62°
Element x y z (fractional)
Zr (0.0624, 0.6510, 0.8435)
Zr (0.1857, 0.2815, 0.7083)
Zr (0.2815, 0.1857, 0.2083)
Zr (0.3490, 0.9376, 0.6565)
Zr (0.6510, 0.0624, 0.3435)
Zr (0.7185, 0.8143, 0.7917)
Zr (0.8143, 0.7185, 0.2917)
Zr (0.9376, 0.3490, 0.1565)
Rh (0.3807, 0.6193, 0.2500)
Rh (0.6193, 0.3807, 0.7500)
N (0.0600, 0.9400, 0.7500)
N (0.9400, 0.0600, 0.2500)

Most intense lines, 2θ from 15° to 90°, in order of rising 2θ:
2θ 28.07, intensity 45
2θ 32.34, intensity 54
2θ 32.50, intensity 36
2θ 33.50, intensity 99
2θ 36.10, intensity 60
2θ 37.20, intensity 100
2θ 37.51, intensity 58
2θ 37.79, intensity 89
2θ 43.08, intensity 39
2θ 45.19, intensity 32


Diffraction record for La2MgNi3As4. The powder XRD pattern is computed, not measured: it uses the PBE geometry in Alexandria and a wavelength of 1.5418 Å.
Neutral-atom scattering factors, no anomalous dispersion.

Atomic structure:
a = 4.2885 Å, b = 4.2885 Å, c = 10.0302 Å
α = 90.00°, β = 90.00°, γ = 90.00°
Element x y z (fractional)
La (0.0000, 0.5000, 0.2352)
La (0.5000, 0.0000, 0.7648)
Mg (0.0000, 0.0000, 0.5000)
Ni (0.0000, 0.5000, 0.8914)
Ni (0.5000, 0.0000, 0.1086)
Ni (0.5000, 0.5000, 0.5000)
As (0.0000, 0.0000, 0.0000)
As (0.0000, 0.5000, 0.6482)
As (0.5000, 0.0000, 0.3518)
As (0.5000, 0.5000, 0.0000)

Most intense lines, 2θ from 15° to 90°, in order of rising 2θ:
2θ 29.46, intensity 26
2θ 34.00, intensity 69
2θ 34.57, intensity 100
2θ 41.73, intensity 12
2θ 42.14, intensity 65
2θ 50.21, intensity 23
2θ 55.21, intensity 34
2θ 61.12, intensity 21
2θ 67.57, intensity 19
2θ 72.16, intensity 23


Diffraction record for KLi2TeS4. The powder XRD pattern is computed, not measured: it uses the PBE geometry in Alexandria and a wavelength of 1.5418 Å.
Neutral-atom scattering factors, no anomalous dispersion.

Atomic structure:
a = 7.6775 Å, b = 8.3372 Å, c = 8.3385 Å
α = 112.70°, β = 96.46°, γ = 115.28°
Element x y z (fractional)
K (0.0000, 0.0000, 0.0000)
K (0.0411, 0.0117, 0.4941)
Li (0.0037, 0.4038, 0.8959)
Li (0.5067, 0.6829, 0.1069)
Li (0.6283, 0.1540, 0.0399)
Li (0.6453, 0.1632, 0.5452)
Te (0.1083, 0.5797, 0.6026)
Te (0.5264, 0.4941, 0.3905)
S (0.2489, 0.4911, 0.2255)
S (0.2945, 0.4867, 0.7614)
S (0.3306, 0.9439, 0.7392)
S (0.4073, 0.1380, 0.2919)
S (0.7147, 0.0507, 0.2573)
S (0.7262, 0.0530, 0.7535)
S (0.7340, 0.5394, 0.2011)
S (0.8554, 0.5481, 0.7519)

Most intense lines, 2θ from 15° to 90°, in order of rising 2θ:
2θ 16.67, intensity 36
2θ 19.39, intensity 42
2θ 21.09, intensity 48
2θ 23.58, intensity 33
2θ 23.76, intensity 38
2θ 26.16, intensity 30
2θ 26.88, intensity 34
2θ 27.02, intensity 100
2θ 27.75, intensity 33
2θ 30.08, intensity 69


Diffraction record for TbTiCo. The powder XRD pattern is computed, not measured: it uses the PBE geometry in Alexandria and a wavelength of 1.5418 Å.
Neutral-atom scattering factors, no anomalous dispersion.

Atomic structure:
a = 4.2783 Å, b = 4.2783 Å, c = 6.2467 Å
α = 90.00°, β = 90.00°, γ = 90.00°
Element x y z (fractional)
Tb (0.2500, 0.2500, 0.1335)
Tb (0.7500, 0.7500, 0.8665)
Ti (0.2500, 0.7500, 0.5000)
Ti (0.7500, 0.2500, 0.5000)
Co (0.2500, 0.2500, 0.6913)
Co (0.7500, 0.7500, 0.3087)

Most intense lines, 2θ from 15° to 90°, in order of rising 2θ:
2θ 25.23, intensity 21
2θ 29.53, intensity 62
2θ 32.90, intensity 53
2θ 35.59, intensity 100
2θ 41.56, intensity 20
2θ 42.25, intensity 56
2θ 48.63, intensity 15
2θ 56.40, intensity 52
2θ 61.28, intensity 18
2θ 88.05, intensity 15


Diffraction record for HfTi2Tl3S6. The powder XRD pattern is computed, not measured: it uses the PBE geometry in Alexandria and a wavelength of 1.5418 Å.
Neutral-atom scattering factors, no anomalous dispersion.

Atomic structure:
a = 6.0658 Å, b = 6.0658 Å, c = 8.6898 Å
α = 96.64°, β = 96.64°, γ = 119.99°
Element x y z (fractional)
Hf (0.0000, 0.0000, 0.0000)
Ti (0.3334, 0.6666, 0.0000)
Ti (0.6666, 0.3334, 0.0000)
Tl (0.1665, 0.8335, 0.5000)
Tl (0.5000, 0.5000, 0.5000)
Tl (0.8335, 0.1665, 0.5000)
S (0.0573, 0.4000, 0.1725)
S (0.2856, 0.2856, 0.8276)
S (0.4000, 0.0573, 0.1725)
S (0.6000, 0.9427, 0.8275)
S (0.7144, 0.7144, 0.1724)
S (0.9427, 0.6000, 0.8275)

Most intense lines, 2θ from 15° to 90°, in order of rising 2θ:
2θ 21.02, intensity 53
2θ 29.66, intensity 16
2θ 30.30, intensity 53
2θ 32.73, intensity 100
2θ 34.45, intensity 18
2θ 41.19, intensity 43
2θ 46.69, intensity 27
2θ 52.24, intensity 28
2θ 56.92, intensity 23
2θ 59.43, intensity 17


Diffraction record for Nb5Ni. The powder XRD pattern is computed, not measured: it uses the PBE geometry in Alexandria and a wavelength of 1.5418 Å.
Neutral-atom scattering factors, no anomalous dispersion.

Atomic structure:
a = 8.4197 Å, b = 8.4197 Å, c = 8.4197 Å
α = 60.00°, β = 60.00°, γ = 60.00°
Element x y z (fractional)
Nb (0.1451, 0.7850, 0.7850)
Nb (0.1911, 0.1911, 0.5589)
Nb (0.1911, 0.5589, 0.1911)
Nb (0.1911, 0.5589, 0.5589)
Nb (0.2150, 0.2150, 0.2150)
Nb (0.2150, 0.2150, 0.8549)
Nb (0.2150, 0.8549, 0.2150)
Nb (0.4411, 0.4411, 0.8089)
Nb (0.4411, 0.8089, 0.4411)
Nb (0.4411, 0.8089, 0.8089)
Nb (0.5589, 0.1911, 0.1911)
Nb (0.5589, 0.1911, 0.5589)
Nb (0.5589, 0.5589, 0.1911)
Nb (0.7850, 0.1451, 0.7850)
Nb (0.7850, 0.7850, 0.1451)
Nb (0.7850, 0.7850, 0.7850)
Nb (0.8089, 0.4411, 0.4411)
Nb (0.8089, 0.4411, 0.8089)
Nb (0.8089, 0.8089, 0.4411)
Nb (0.8549, 0.2150, 0.2150)
Ni (0.0000, 0.0000, 0.0000)
Ni (0.0000, 0.0000, 0.5000)
Ni (0.0000, 0.5000, 0.0000)
Ni (0.5000, 0.0000, 0.0000)

Most intense lines, 2θ from 15° to 90°, in order of rising 2θ:
2θ 25.92, intensity 7
2θ 32.78, intensity 8
2θ 36.98, intensity 33
2θ 39.32, intensity 100
2θ 42.97, intensity 21
2θ 45.72, intensity 7
2θ 59.64, intensity 7
2θ 66.65, intensity 32
2θ 68.21, intensity 8
2θ 80.21, intensity 17


Diffraction record for AsClO. The powder XRD pattern is computed, not measured: it uses the PBE geometry in Alexandria and a wavelength of 1.5418 Å.
Neutral-atom scattering factors, no anomalous dispersion.

Atomic structure:
a = 7.3264 Å, b = 7.3264 Å, c = 6.1058 Å
α = 90.00°, β = 90.00°, γ = 120.00°
Element x y z (fractional)
As (0.1959, 0.7867, 0.0000)
As (0.2133, 0.4092, 0.6667)
As (0.5908, 0.8041, 0.3333)
Cl (0.4385, 0.3974, 0.9088)
Cl (0.6026, 0.0411, 0.5754)
Cl (0.9589, 0.5615, 0.2421)
O (0.1585, 0.6005, 0.7872)
O (0.3995, 0.5581, 0.4538)
O (0.4419, 0.8415, 0.1205)

Most intense lines, 2θ from 15° to 90°, in order of rising 2θ:
2θ 20.18, intensity 100
2θ 24.30, intensity 15
2θ 28.13, intensity 16
2θ 28.41, intensity 77
2θ 31.79, intensity 22
2θ 32.55, intensity 16
2θ 37.50, intensity 13
2θ 38.38, intensity 28
2θ 48.26, intensity 28
2θ 54.25, intensity 18